# 1
This entry pairs a crystal structure of NaNi3O5 with its computed XRD peak list. Radiation: Cu Kα X-rays. Structure: a crystal structure in the Materials Project, relaxed with PBE+U.
Kinematic intensities with the Lorentz-polarization factor, no thermal factor.

Principal peaks in the range 10 to 90 degrees two-theta, in order of rising 2θ:
- 2θ = 12.0°, rel. 100.0, (1 0 1)
- 2θ = 32.3°, rel. 13.3, (3 0 1)
- 2θ = 35.3°, rel. 11.6, (0 0 6)
- 2θ = 37.1°, rel. 28.1, (1 1 3)
- 2θ = 39.4°, rel. 12.8, (2 1 2)
- 2θ = 41.6°, rel. 11.1, (2 1 3)
- 2θ = 43.7°, rel. 12.4, (3 0 5)
- 2θ = 44.6°, rel. 30.3, (2 1 4)

```
data_NaNi3O5
_symmetry_space_group_name_H-M 'P n m a'
_symmetry_Int_Tables_number 62
_symmetry_space_group_name_Hall '-P 2ac 2n'
_cell_length_a 8.4599
_cell_length_b 2.9111
_cell_length_c 15.2447
_cell_angle_alpha 90.00
_cell_angle_beta 90.00
_cell_angle_gamma 90.00
loop_
_atom_site_label
_atom_site_fract_x
_atom_site_fract_y
_atom_site_fract_z
Na1 0.0450 0.2500 0.1360
Ni1 0.0991 0.2500 0.6478
Ni2 0.1641 0.7500 0.4863
Ni3 0.1936 0.2500 0.3180
O1 0.0217 0.2500 0.4189
O2 0.0706 0.7500 0.2709
O3 0.1941 0.7500 0.7072
O4 0.1996 0.2500 0.8774
O5 0.2434 0.7500 0.0578
```

=====

# 2
This entry pairs a crystal structure of Co5Te4Cl4O11 with its computed XRD peak list. Radiation: Cu Kα X-rays. Structure: a crystal structure in the Materials Project, relaxed with PBE+U.
Kinematic intensities with the Lorentz-polarization factor, no thermal factor.

Principal peaks in the range 10 to 90 degrees two-theta, in order of rising 2θ:
- 2θ = 10.7°, rel. 100.0, (1 0 0)
- 2θ = 16.6°, rel. 27.3, (-1 1 1)
- 2θ = 21.4°, rel. 58.7, (2 0 0)
- 2θ = 26.1°, rel. 28.9, (0 3 -1)
- 2θ = 30.0°, rel. 69.7, (1 -2 3)
- 2θ = 31.1°, rel. 57.0, (0 2 2)
- 2θ = 32.6°, rel. 37.6, (-3 1 1)
- 2θ = 36.2°, rel. 27.5, (2 -2 3)

```
data_Co5Te4Cl4O11
_symmetry_space_group_name_H-M 'P -1'
_symmetry_Int_Tables_number 2
_symmetry_space_group_name_Hall '-P 1'
_cell_length_a 8.5170
_cell_length_b 10.3516
_cell_length_c 10.4208
_cell_angle_alpha 110.53
_cell_angle_beta 97.87
_cell_angle_gamma 97.24
loop_
_atom_site_label
_atom_site_fract_x
_atom_site_fract_y
_atom_site_fract_z
Co1 0.0853 0.3809 0.4012
Co2 0.0920 0.1568 0.5697
Co3 0.0995 0.9514 0.7604
Co4 0.1055 0.7990 0.0007
Co5 0.1362 0.5779 0.1859
Te1 0.2166 0.5031 0.7845
Te2 0.2405 0.1766 0.1209
Te3 0.2765 0.7102 0.5424
Te4 0.2855 0.9415 0.3293
Cl1 0.3021 0.0997 0.7100
Cl2 0.3169 0.4533 0.0696
Cl3 0.3179 0.2982 0.4864
Cl4 0.3190 0.8435 0.8741
O1 0.0557 0.2200 0.2033
O2 0.0671 0.5820 0.8966
O3 0.0730 0.3303 0.7235
O4 0.0761 0.7804 0.5698
O5 0.0807 0.9847 0.3826
O6 0.0975 0.1069 0.9447
O7 0.1338 0.5456 0.6198
O8 0.1995 0.7681 0.1766
O9 0.2010 0.5524 0.3719
O10 0.2285 0.0017 0.1472
O11 0.3439 0.8341 0.4490
```

=====

# 3
This entry pairs a crystal structure of Li9Co7O16 with its computed XRD peak list. Radiation: Cu Kα X-rays. Structure: a crystal structure in the Materials Project, relaxed with PBE+U.
Kinematic intensities with the Lorentz-polarization factor, no thermal factor.

Principal peaks in the range 10 to 90 degrees two-theta, in order of rising 2θ:
- 2θ = 18.6°, rel. 100.0, (4 0 0)
- 2θ = 36.5°, rel. 39.5, (1 1 2)
- 2θ = 44.1°, rel. 52.9, (5 1 2)
- 2θ = 44.4°, rel. 25.3, (6 0 -4)
- 2θ = 48.5°, rel. 8.2, (7 1 -2)
- 2θ = 58.2°, rel. 9.4, (9 1 2)
- 2θ = 64.1°, rel. 13.8, (11 1 -2)
- 2θ = 64.7°, rel. 21.0, (0 2 0)

```
data_Li9Co7O16
_symmetry_space_group_name_H-M 'C 1 2/m 1'
_symmetry_Int_Tables_number 12
_symmetry_space_group_name_Hall '-C 2y'
_cell_length_a 19.1667
_cell_length_b 2.8805
_cell_length_c 9.9894
_cell_angle_alpha 90.00
_cell_angle_beta 94.45
_cell_angle_gamma 90.00
loop_
_atom_site_label
_atom_site_fract_x
_atom_site_fract_y
_atom_site_fract_z
Li1 0.0000 0.0000 0.0000
Li2 0.1197 0.5000 0.9448
Li3 0.1219 0.0000 0.1850
Li4 0.1240 0.5000 0.4355
Li5 0.1246 0.0000 0.6868
Co1 0.0000 0.0000 0.5000
Co2 0.9996 0.5000 0.2462
Co3 0.2486 0.0000 0.3762
Co4 0.2485 0.5000 0.1251
O1 0.0513 0.0000 0.3418
O2 0.0527 0.5000 0.5899
O3 0.0553 0.0000 0.8287
O4 0.0564 0.5000 0.1122
O5 0.1888 0.0000 0.0300
O6 0.1913 0.5000 0.2875
O7 0.1932 0.0000 0.5272
O8 0.1941 0.5000 0.7728
```

=====

# 4
This entry pairs a crystal structure of CrWO4 with its computed XRD peak list. Radiation: Cu Kα X-rays. Structure: a crystal structure in the Materials Project, relaxed with PBE+U.
Kinematic intensities with the Lorentz-polarization factor, no thermal factor.

Principal peaks in the range 10 to 90 degrees two-theta, in order of rising 2θ:
- 2θ = 19.1°, rel. 74.4, (0 2 2)
- 2θ = 26.8°, rel. 63.0, (0 0 4)
- 2θ = 27.4°, rel. 59.0, (0 4 0)
- 2θ = 34.5°, rel. 100.0, (2 2 2)
- 2θ = 38.7°, rel. 27.2, (0 4 4)
- 2θ = 39.4°, rel. 25.9, (2 0 4)
- 2θ = 52.4°, rel. 41.2, (2 2 6)
- 2θ = 53.1°, rel. 39.2, (2 6 2)

```
data_CrWO4
_symmetry_space_group_name_H-M 'F m m m'
_symmetry_Int_Tables_number 69
_symmetry_space_group_name_Hall '-F 2 2'
_cell_length_a 6.2791
_cell_length_b 13.0187
_cell_length_c 13.3215
_cell_angle_alpha 90.00
_cell_angle_beta 90.00
_cell_angle_gamma 90.00
loop_
_atom_site_label
_atom_site_fract_x
_atom_site_fract_y
_atom_site_fract_z
Cr1 0.2500 0.0000 0.2500
Cr2 0.2500 0.2500 0.0000
W1 0.0000 0.0000 0.0000
W2 0.0000 0.0000 0.5000
W3 0.0000 0.2500 0.2500
O1 0.0000 0.0993 0.2462
O2 0.0000 0.1494 0.5000
O3 0.0000 0.1530 0.0000
O4 0.2322 0.0000 0.4019
O5 0.2500 0.2500 0.1528
```